(1)
Starting from a DFT-relaxed cell (PBE, Alexandria), the powder diffractogram of Sr7In2Hg2 was computed for λ = 1.5418 Å (Cu Kα).
Neutral-atom scattering factors, no anomalous dispersion.

The 10 most intense peaks (5° ≤ 2θ ≤ 70°), sorted by position:
2theta, d (Å), I/Imax
17.62, 5.035, 56
22.98, 3.870, 68
24.77, 3.595, 24
28.17, 3.168, 52
29.68, 3.010, 24
31.93, 2.803, 65
32.95, 2.719, 100
38.54, 2.336, 24
39.07, 2.306, 32
43.63, 2.074, 27

Cell and atoms:
```
data_Sr7In2Hg2
_chemical_formula_sum 'Sr7 In2 Hg2'
_cell_length_a 7.699
_cell_length_b 7.699
_cell_length_c 8.294
_cell_angle_alpha 90.00
_cell_angle_beta 90.00
_cell_angle_gamma 110.73
_space_group_name_H-M_alt 'P 1'
_space_group_IT_number 1
loop_
_space_group_symop_operation_xyz
'x,y,z'
loop_
_atom_site_label
_atom_site_type_symbol
_atom_site_fract_x
_atom_site_fract_y
_atom_site_fract_z
Sr1 Sr 0.000 0.000 0.000
Sr2 Sr 0.000 0.500 0.274
Sr3 Sr 0.000 0.500 0.726
Sr4 Sr 0.500 0.000 0.274
Sr5 Sr 0.500 0.000 0.726
Sr6 Sr 0.500 0.500 0.254
Sr7 Sr 0.500 0.500 0.746
In1 In 0.166 0.166 0.500
In2 In 0.834 0.834 0.500
Hg1 Hg 0.294 0.706 0.000
Hg2 Hg 0.706 0.294 0.000
```

(2)
Starting from a DFT-relaxed cell (PBE, Alexandria), the powder diffractogram of AcEuZnAu was computed for λ = 1.5418 Å (Cu Kα).
Neutral-atom scattering factors, no anomalous dispersion.

The 10 most intense peaks (5° ≤ 2θ ≤ 70°), sorted by position:
2theta, d (Å), I/Imax
20.03, 4.433, 11
23.17, 3.839, 3
32.99, 2.715, 100
38.90, 2.315, 6
47.35, 1.920, 18
51.90, 1.762, 3
53.36, 1.717, 1
58.92, 1.567, 38
62.89, 1.478, 2
69.21, 1.357, 12

Cell and atoms:
```
data_AcEuZnAu
_chemical_formula_sum 'Ac1 Eu1 Zn1 Au1'
_cell_length_a 5.430
_cell_length_b 5.430
_cell_length_c 5.430
_cell_angle_alpha 60.00
_cell_angle_beta 60.00
_cell_angle_gamma 60.00
_space_group_name_H-M_alt 'P 1'
_space_group_IT_number 1
loop_
_space_group_symop_operation_xyz
'x,y,z'
loop_
_atom_site_label
_atom_site_type_symbol
_atom_site_fract_x
_atom_site_fract_y
_atom_site_fract_z
Ac1 Ac 0.000 0.000 0.000
Eu1 Eu 0.500 0.500 0.500
Zn1 Zn 0.750 0.750 0.750
Au1 Au 0.250 0.250 0.250
```

(3)
Starting from a DFT-relaxed cell (PBE, Alexandria), the powder diffractogram of PmSb6 was computed for λ = 1.5418 Å (Cu Kα).
Neutral-atom scattering factors, no anomalous dispersion.

The 10 most intense peaks (5° ≤ 2θ ≤ 70°), sorted by position:
2theta, d (Å), I/Imax
21.38, 4.155, 41
26.27, 3.393, 100
37.49, 2.399, 29
40.62, 2.221, 62
43.56, 2.078, 32
49.02, 1.858, 18
51.58, 1.772, 15
61.07, 1.517, 18
63.30, 1.469, 21
69.76, 1.348, 19

Cell and atoms:
```
data_PmSb6
_chemical_formula_sum 'Pm1 Sb6'
_cell_length_a 7.197
_cell_length_b 7.197
_cell_length_c 7.197
_cell_angle_alpha 109.47
_cell_angle_beta 109.47
_cell_angle_gamma 109.47
_space_group_name_H-M_alt 'P 1'
_space_group_IT_number 1
loop_
_space_group_symop_operation_xyz
'x,y,z'
loop_
_atom_site_label
_atom_site_type_symbol
_atom_site_fract_x
_atom_site_fract_y
_atom_site_fract_z
Pm1 Pm 0.000 0.000 0.000
Sb1 Sb 0.250 0.500 0.750
Sb2 Sb 0.250 0.750 0.500
Sb3 Sb 0.500 0.250 0.750
Sb4 Sb 0.500 0.750 0.250
Sb5 Sb 0.750 0.250 0.500
Sb6 Sb 0.750 0.500 0.250
```

(4)
Starting from a DFT-relaxed cell (PBE, Alexandria), the powder diffractogram of YMg3Cu3 was computed for λ = 1.5418 Å (Cu Kα).
Neutral-atom scattering factors, no anomalous dispersion.

The 10 most intense peaks (5° ≤ 2θ ≤ 70°), sorted by position:
2theta, d (Å), I/Imax
12.20, 7.258, 66
24.53, 3.629, 9
32.05, 2.792, 28
32.64, 2.743, 26
38.75, 2.324, 100
41.30, 2.186, 25
43.20, 2.094, 11
49.87, 1.828, 18
53.61, 1.710, 12
58.26, 1.584, 10

Cell and atoms:
```
data_YMg3Cu3
_chemical_formula_sum 'Y2 Mg6 Cu6'
_cell_length_a 8.380
_cell_length_b 8.380
_cell_length_c 4.372
_cell_angle_alpha 90.00
_cell_angle_beta 90.00
_cell_angle_gamma 120.00
_space_group_name_H-M_alt 'P 1'
_space_group_IT_number 1
loop_
_space_group_symop_operation_xyz
'x,y,z'
loop_
_atom_site_label
_atom_site_type_symbol
_atom_site_fract_x
_atom_site_fract_y
_atom_site_fract_z
Y1 Y 0.333 0.667 0.250
Y2 Y 0.667 0.333 0.750
Mg1 Mg 0.034 0.265 0.750
Mg2 Mg 0.231 0.966 0.750
Mg3 Mg 0.265 0.231 0.250
Mg4 Mg 0.735 0.769 0.750
Mg5 Mg 0.769 0.034 0.250
Mg6 Mg 0.966 0.735 0.250
Cu1 Cu 0.056 0.596 0.750
Cu2 Cu 0.404 0.460 0.750
Cu3 Cu 0.460 0.056 0.250
Cu4 Cu 0.540 0.944 0.750
Cu5 Cu 0.596 0.540 0.250
Cu6 Cu 0.944 0.404 0.250
```

(5)
Starting from a DFT-relaxed cell (PBE, Alexandria), the powder diffractogram of LiCaOs was computed for λ = 1.5418 Å (Cu Kα).
Neutral-atom scattering factors, no anomalous dispersion.

The 10 most intense peaks (5° ≤ 2θ ≤ 70°), sorted by position:
2theta, d (Å), I/Imax
19.76, 4.492, 63
22.02, 4.036, 100
35.37, 2.538, 31
35.98, 2.496, 57
39.48, 2.283, 45
39.91, 2.259, 22
44.52, 2.035, 32
45.77, 1.983, 29
54.38, 1.687, 18
62.32, 1.490, 23

Cell and atoms:
```
data_LiCaOs
_chemical_formula_sum 'Li1 Ca1 Os1'
_cell_length_a 5.199
_cell_length_b 5.199
_cell_length_c 5.199
_cell_angle_alpha 150.53
_cell_angle_beta 128.50
_cell_angle_gamma 60.45
_space_group_name_H-M_alt 'P 1'
_space_group_IT_number 1
loop_
_space_group_symop_operation_xyz
'x,y,z'
loop_
_atom_site_label
_atom_site_type_symbol
_atom_site_fract_x
_atom_site_fract_y
_atom_site_fract_z
Li1 Li 0.000 0.000 0.000
Ca1 Ca 0.312 0.312 0.000
Os1 Os 0.640 0.640 0.000
```

(6)
Starting from a DFT-relaxed cell (PBE, Alexandria), the powder diffractogram of CaTm2Cu6 was computed for λ = 1.5418 Å (Cu Kα).
Neutral-atom scattering factors, no anomalous dispersion.

The 10 most intense peaks (5° ≤ 2θ ≤ 70°), sorted by position:
2theta, d (Å), I/Imax
14.01, 6.321, 21
24.39, 3.649, 11
28.63, 3.118, 7
35.10, 2.557, 100
37.96, 2.370, 4
42.92, 2.107, 52
45.64, 1.988, 5
50.96, 1.792, 10
56.60, 1.626, 24
68.77, 1.365, 24

Cell and atoms:
```
data_CaTm2Cu6
_chemical_formula_sum 'Ca1 Tm2 Cu6'
_cell_length_a 7.299
_cell_length_b 7.299
_cell_length_c 3.584
_cell_angle_alpha 90.00
_cell_angle_beta 90.00
_cell_angle_gamma 120.00
_space_group_name_H-M_alt 'P 1'
_space_group_IT_number 1
loop_
_space_group_symop_operation_xyz
'x,y,z'
loop_
_atom_site_label
_atom_site_type_symbol
_atom_site_fract_x
_atom_site_fract_y
_atom_site_fract_z
Ca1 Ca 0.000 0.000 0.000
Tm1 Tm 0.333 0.667 0.000
Tm2 Tm 0.667 0.333 0.000
Cu1 Cu 0.000 0.336 0.500
Cu2 Cu 0.000 0.664 0.500
Cu3 Cu 0.336 0.000 0.500
Cu4 Cu 0.336 0.336 0.500
Cu5 Cu 0.664 0.000 0.500
Cu6 Cu 0.664 0.664 0.500
```